Structure and calculated PXRD pattern of Ca4PuTh3N8 (the GGA-PBE geometry in Alexandria; a wavelength of 1.5418 Å).

The 10 most intense peaks (2θ = 10–90°), in order of rising 2θ:
2theta  I/Imax  (hkl)
15.29  98  0 0 3
28.85  63  0 2 1
30.22  99  2 0 2
30.86  32  0 0 6
35.23  100  0 2 4
38.60  28  2 0 5
50.26  36  2 2 0
51.09  34  2 0 8
52.85  27  2 2 3
60.15  31  2 2 6

Atomic structure:
a b c (Å): 7.2619 7.2619 17.3848
angles (deg): 90.00 90.00 120.00
Space group R-3m (No. 166, hexagonal axes)
Unique sites:
1 Ca 0.0000 0.0000 0.0000 x3
2 Ca 0.0000 0.5000 0.0000 x9
3 Pu 0.0000 0.0000 0.5000 x3
4 Th 0.0000 0.5000 0.5000 x9
5 N 0.0000 0.0000 0.2413 x6
6 N 0.0093 0.5047 0.2406 x18


Structure and calculated PXRD pattern of Ca3Pu3TiN8 (the GGA-PBE geometry in Alexandria; a wavelength of 1.5418 Å).

The 10 most intense peaks (2θ = 10–90°), in order of rising 2θ:
2theta  I/Imax  (hkl)
15.73  100  0 0 3
18.48  25  0 1 2
31.13  52  0 2 1
31.76  27  0 0 6
32.48  74  2 0 2
37.47  80  0 2 4
53.56  27  2 0 8
54.51  27  2 2 0
57.10  22  2 2 3
64.48  23  2 2 6

Atomic structure:
a b c (Å): 6.7335 6.7335 16.9048
angles (deg): 90.00 90.00 120.00
Space group R-3m (No. 166, hexagonal axes)
Unique sites:
1 Ca 0.0000 0.5000 0.0000 x9
2 Pu 0.0000 0.5000 0.5000 x9
3 Ti 0.0000 0.0000 0.5000 x3
4 N 0.0000 0.0000 0.2407 x6
5 N 0.0176 0.5088 0.2309 x18


What did the first record say?
Structure and calculated PXRD pattern of Ca4PuTh3N8 (the GGA-PBE geometry in Alexandria; a wavelength of 1.5418 Å).

The 10 most intense peaks (2θ = 10–90°), in order of rising 2θ:
2theta  I/Imax  (hkl)
15.29  98  0 0 3
28.85  63  0 2 1
30.22  99  2 0 2
30.86  32  0 0 6
35.23  100  0 2 4
38.60  28  2 0 5
50.26  36  2 2 0
51.09  34  2 0 8
52.85  27  2 2 3
60.15  31  2 2 6

Atomic structure:
a b c (Å): 7.2619 7.2619 17.3848
angles (deg): 90.00 90.00 120.00
Space group R-3m (No. 166, hexagonal axes)
Unique sites:
1 Ca 0.0000 0.0000 0.0000 x3
2 Ca 0.0000 0.5000 0.0000 x9
3 Pu 0.0000 0.0000 0.5000 x3
4 Th 0.0000 0.5000 0.5000 x9
5 N 0.0000 0.0000 0.2413 x6
6 N 0.0093 0.5047 0.2406 x18


What is the formula in the second record?
Ca3Pu3TiN8